Starting from the PBE geometry in the Materials Project, the powder diffractogram of Cu2BiAsO6 was computed for λ = 1.5418 Å (Cu Kα).

Atomic structure:
Lattice parameters (Å, degrees): 12.4877 5.2936 7.7515 90.00 90.00 90.00
Element x y z (fractional)
Cu 0.1277 0.2500 0.2184
Cu 0.1941 0.7500 0.4550
Cu 0.3059 0.2500 0.9550
Cu 0.3723 0.7500 0.7184
Cu 0.6277 0.2500 0.2816
Cu 0.6941 0.7500 0.0450
Cu 0.8059 0.2500 0.5450
Cu 0.8723 0.7500 0.7816
Bi 0.0574 0.2500 0.6499
Bi 0.4426 0.7500 0.1499
Bi 0.5574 0.2500 0.8501
Bi 0.9426 0.7500 0.3501
As 0.1273 0.7500 0.9754
As 0.3727 0.2500 0.4754
As 0.6273 0.7500 0.5246
As 0.8727 0.2500 0.0246
O 0.0028 0.7500 0.0651
O 0.0892 0.5011 0.3893
O 0.0892 0.9989 0.3893
O 0.1209 0.7500 0.7558
O 0.2002 0.0110 0.0560
O 0.2002 0.4890 0.0560
O 0.2998 0.5110 0.5560
O 0.2998 0.9890 0.5560
O 0.3791 0.2500 0.2558
O 0.4108 0.0011 0.8893
O 0.4108 0.4989 0.8893
O 0.4972 0.2500 0.5651
O 0.5028 0.7500 0.4349
O 0.5892 0.5011 0.1107
O 0.5892 0.9989 0.1107
O 0.6209 0.7500 0.7442
O 0.7002 0.0110 0.4440
O 0.7002 0.4890 0.4440
O 0.7998 0.5110 0.9440
O 0.7998 0.9890 0.9440
O 0.8791 0.2500 0.2442
O 0.9108 0.0011 0.6107
O 0.9108 0.4989 0.6107
O 0.9972 0.2500 0.9349

Most intense lines, 2θ = 5–70°, in order of rising 2θ:
| 2θ/deg | I_rel |
| --- | --- |
| 14.18 | 29 |
| 24.86 | 45 |
| 29.44 | 100 |
| 29.63 | 70 |
| 30.88 | 31 |
| 32.01 | 67 |
| 33.32 | 54 |
| 33.87 | 54 |
| 35.48 | 29 |
| 46.95 | 38 |



Starting from the PBE geometry in the Materials Project, the powder diffractogram of NdTmS3 was computed for λ = 1.5418 Å (Cu Kα).

Atomic structure:
Lattice parameters (Å, degrees): 11.0128 3.9506 21.5203 90.00 101.50 90.00
Element x y z (fractional)
Nd 0.0925 0.2500 0.3631
Nd 0.2013 0.2500 0.0364
Nd 0.3034 0.7500 0.7345
Nd 0.3075 0.2500 0.2318
Nd 0.6925 0.7500 0.7682
Nd 0.6966 0.2500 0.2655
Nd 0.7987 0.7500 0.9636
Nd 0.9075 0.7500 0.6369
Tm 0.0294 0.2500 0.8518
Tm 0.1796 0.2500 0.5465
Tm 0.4473 0.2500 0.9170
Tm 0.4771 0.7500 0.4115
Tm 0.5229 0.2500 0.5885
Tm 0.5527 0.7500 0.0830
Tm 0.8204 0.7500 0.4535
Tm 0.9706 0.7500 0.1482
S 0.0390 0.2500 0.2287
S 0.0573 0.7500 0.9449
S 0.0853 0.7500 0.4624
S 0.1245 0.2500 0.6639
S 0.2046 0.7500 0.1334
S 0.2530 0.7500 0.3257
S 0.2538 0.2500 0.8237
S 0.3422 0.7500 0.5996
S 0.3551 0.7500 0.9852
S 0.3639 0.2500 0.4638
S 0.4514 0.2500 0.1334
S 0.4954 0.2500 0.7210
S 0.5046 0.7500 0.2790
S 0.5486 0.7500 0.8666
S 0.6361 0.7500 0.5362
S 0.6449 0.2500 0.0148
S 0.6578 0.2500 0.4004
S 0.7462 0.7500 0.1763
S 0.7470 0.2500 0.6743
S 0.7954 0.2500 0.8666
S 0.8755 0.7500 0.3361
S 0.9147 0.2500 0.5376
S 0.9427 0.2500 0.0551
S 0.9610 0.7500 0.7713

Most intense lines, 2θ = 5–70°, in order of rising 2θ:
| 2θ/deg | I_rel |
| --- | --- |
| 23.99 | 24 |
| 24.50 | 70 |
| 25.03 | 64 |
| 25.87 | 100 |
| 28.81 | 34 |
| 33.19 | 26 |
| 34.15 | 26 |
| 37.21 | 42 |
| 42.92 | 25 |
| 45.94 | 38 |



Starting from the PBE geometry in the Materials Project, the powder diffractogram of CeTl was computed for λ = 1.5418 Å (Cu Kα).

Atomic structure:
Lattice parameters (Å, degrees): 3.5115 3.5115 4.6607 90.00 90.00 90.00
Element x y z (fractional)
Ce 0.0000 0.0000 0.0000
Tl 0.5000 0.5000 0.5000

Most intense lines, 2θ = 5–70°, in order of rising 2θ:
| 2θ/deg | I_rel |
| --- | --- |
| 19.04 | 3 |
| 25.36 | 3 |
| 31.91 | 100 |
| 36.18 | 36 |
| 38.64 | 15 |
| 52.09 | 13 |
| 53.96 | 23 |
| 62.40 | 30 |
| 65.73 | 13 |
| 66.70 | 12 |



Starting from the PBE geometry in the Materials Project, the powder diffractogram of Fe2CuRh3S8 was computed for λ = 1.5418 Å (Cu Kα).

Atomic structure:
Lattice parameters (Å, degrees): 6.8076 6.8076 6.8076 60.30 60.30 60.30
Element x y z (fractional)
Fe 0.0000 0.0000 0.0000
Fe 0.3693 0.3693 0.3693
Cu 0.6179 0.6179 0.6179
Rh 0.4810 0.9988 0.9988
Rh 0.9988 0.4810 0.9988
Rh 0.9988 0.9988 0.4810
S 0.2114 0.7596 0.7596
S 0.2343 0.2343 0.7460
S 0.2343 0.7460 0.2343
S 0.2435 0.2435 0.2435
S 0.7460 0.2343 0.2343
S 0.7522 0.7522 0.7522
S 0.7596 0.2113 0.7596
S 0.7596 0.7596 0.2114

Most intense lines, 2θ = 5–70°, in order of rising 2θ:
| 2θ/deg | I_rel |
| --- | --- |
| 15.93 | 38 |
| 26.18 | 20 |
| 30.69 | 100 |
| 30.82 | 27 |
| 37.28 | 61 |
| 49.02 | 34 |
| 49.15 | 12 |
| 53.61 | 45 |
| 53.87 | 44 |
| 63.08 | 12 |